# 1
This entry pairs a crystal structure of HfCuPtRh with its theoretical powder diffractogram. Radiation: Cu Kα X-rays. Structure: a GGA-PBE-relaxed structure.

Atomic structure:
abc: 3.702 3.982 4.163
angles: 90.00 90.00 90.00
Element x y z (fractional)
Hf1 0.000 0.000 0.000
Cu1 0.000 0.500 0.500
Pt1 0.500 0.000 0.500
Rh1 0.500 0.500 0.000

Principal peaks in the range 10 to 90 degrees two-theta, sorted by position:
two_theta	d/Å	intensity
22.33	3.982	13
39.67	2.272	100
43.47	2.082	19
45.56	1.991	17
49.23	1.851	13
64.80	1.439	12
77.23	1.235	14
80.22	1.197	13
85.48	1.136	11
85.65	1.134	11

=====

# 2
This entry pairs a crystal structure of HfCuRuPt with its theoretical powder diffractogram. Radiation: Cu Kα X-rays. Structure: a GGA-PBE-relaxed structure.

Atomic structure:
abc: 3.717 3.973 4.146
angles: 90.00 90.00 90.00
Element x y z (fractional)
Hf1 0.000 0.000 0.000
Cu1 0.000 0.500 0.500
Ru1 0.500 0.500 0.000
Pt1 0.500 0.000 0.500

Principal peaks in the range 10 to 90 degrees two-theta, sorted by position:
two_theta	d/Å	intensity
22.38	3.973	14
32.35	2.767	11
39.69	2.271	100
43.66	2.073	19
45.67	1.987	17
49.02	1.858	14
65.02	1.434	12
77.51	1.232	14
80.38	1.195	13
85.35	1.137	11

=====

# 3
This entry pairs a crystal structure of RbHfCu3Se4 with its theoretical powder diffractogram. Radiation: Cu Kα X-rays. Structure: a GGA-PBE-relaxed structure.

Atomic structure:
abc: 6.324 6.324 6.324
angles: 90.00 90.00 90.00
Element x y z (fractional)
Rb1 0.000 0.000 0.000
Hf1 0.500 0.500 0.500
Cu1 0.000 0.500 0.500
Cu2 0.500 0.000 0.500
Cu3 0.500 0.500 0.000
Se1 0.275 0.275 0.725
Se2 0.275 0.725 0.275
Se3 0.725 0.275 0.275
Se4 0.725 0.725 0.725

Principal peaks in the range 10 to 90 degrees two-theta, sorted by position:
two_theta	d/Å	intensity
14.00	6.324	51
19.85	4.472	43
24.38	3.651	49
34.75	2.582	23
40.34	2.236	100
47.70	1.907	19
52.15	1.754	14
54.27	1.690	16
58.37	1.581	15
73.34	1.291	28

=====

# 4
This entry pairs a crystal structure of Rb2Hf2CuSe6 with its theoretical powder diffractogram. Radiation: Cu Kα X-rays. Structure: a GGA-PBE-relaxed structure.

Atomic structure:
abc: 6.759 6.759 8.513
angles: 97.35 97.35 121.23
Element x y z (fractional)
Rb1 0.161 0.839 0.000
Rb2 0.839 0.161 0.000
Hf1 0.330 0.670 0.500
Hf2 0.670 0.330 0.500
Cu1 0.000 0.000 0.500
Se1 0.066 0.404 0.687
Se2 0.263 0.263 0.328
Se3 0.404 0.066 0.687
Se4 0.596 0.934 0.313
Se5 0.737 0.737 0.672
Se6 0.934 0.596 0.313

Principal peaks in the range 10 to 90 degrees two-theta, sorted by position:
two_theta	d/Å	intensity
10.76	8.219	100
16.94	5.235	13
30.17	2.962	94
30.60	2.922	42
36.87	2.438	22
39.57	2.278	26
39.95	2.257	15
46.25	1.963	16
47.17	1.927	30
56.47	1.629	14

=====

# 5
This entry pairs a crystal structure of Hf3CuRe2 with its theoretical powder diffractogram. Radiation: Cu Kα X-rays. Structure: a GGA-PBE-relaxed structure.

Atomic structure:
abc: 3.297 3.297 9.729
angles: 90.00 90.00 90.00
Element x y z (fractional)
Hf1 0.000 0.000 0.000
Hf2 0.000 0.000 0.329
Hf3 0.000 0.000 0.671
Cu1 0.500 0.500 0.500
Re1 0.500 0.500 0.173
Re2 0.500 0.500 0.827

Principal peaks in the range 10 to 90 degrees two-theta, sorted by position:
two_theta	d/Å	intensity
18.24	4.865	4
32.82	2.729	2
38.62	2.331	52
38.96	2.312	100
55.76	1.648	18
56.77	1.622	8
70.11	1.342	36
70.78	1.331	17
82.81	1.166	6
83.65	1.156	11

=====

# 6
This entry pairs a crystal structure of HfTiCuRe with its theoretical powder diffractogram. Radiation: Cu Kα X-rays. Structure: a GGA-PBE-relaxed structure.

Atomic structure:
abc: 3.233 3.233 6.219
angles: 90.00 90.00 90.00
Element x y z (fractional)
Hf1 0.000 0.000 0.000
Ti1 0.000 0.000 0.489
Cu1 0.500 0.500 0.731
Re1 0.500 0.500 0.261

Principal peaks in the range 10 to 90 degrees two-theta, sorted by position:
two_theta	d/Å	intensity
14.24	6.219	35
31.18	2.869	31
39.41	2.286	54
40.24	2.241	100
42.11	2.146	10
56.96	1.617	18
66.37	1.408	8
72.03	1.311	35
73.69	1.286	16
86.93	1.121	10

=====

# 7
This entry pairs a crystal structure of Hf6CuRh2 with its theoretical powder diffractogram. Radiation: Cu Kα X-rays. Structure: a GGA-PBE-relaxed structure.

Atomic structure:
abc: 5.681 7.208 10.215
angles: 90.00 121.67 90.00
Element x y z (fractional)
Hf1 0.060 0.069 0.243
Hf2 0.060 0.431 0.743
Hf3 0.225 0.738 0.075
Hf4 0.225 0.762 0.575
Hf5 0.381 0.146 0.045
Hf6 0.381 0.354 0.545
Hf7 0.619 0.646 0.455
Hf8 0.619 0.854 0.955
Hf9 0.775 0.238 0.425
Hf10 0.775 0.262 0.925
Hf11 0.940 0.569 0.257
Hf12 0.940 0.931 0.757
Cu1 0.500 0.000 0.500
Cu2 0.500 0.500 0.000
Rh1 0.302 0.094 0.702
Rh2 0.302 0.406 0.202
Rh3 0.698 0.594 0.798
Rh4 0.698 0.906 0.298

Principal peaks in the range 10 to 90 degrees two-theta, sorted by position:
two_theta	d/Å	intensity
31.34	2.854	55
32.27	2.774	53
33.94	2.641	61
34.22	2.620	100
35.87	2.504	66
36.37	2.470	87
37.49	2.399	36
41.52	2.175	52
41.99	2.152	57
60.82	1.523	37

=====

# 8
This entry pairs a crystal structure of Hf2CuRh2 with its theoretical powder diffractogram. Radiation: Cu Kα X-rays. Structure: a GGA-PBE-relaxed structure.

Atomic structure:
abc: 7.289 7.289 3.303
angles: 90.00 90.00 90.00
Element x y z (fractional)
Hf1 0.163 0.337 0.000
Hf2 0.337 0.837 0.000
Hf3 0.663 0.163 0.000
Hf4 0.837 0.663 0.000
Cu1 0.000 0.000 0.500
Cu2 0.500 0.500 0.500
Rh1 0.139 0.639 0.500
Rh2 0.361 0.139 0.500
Rh3 0.639 0.861 0.500
Rh4 0.861 0.361 0.500

Principal peaks in the range 10 to 90 degrees two-theta, sorted by position:
two_theta	d/Å	intensity
17.20	5.154	13
24.42	3.645	8
36.72	2.448	12
38.81	2.320	100
39.08	2.305	37
53.32	1.718	11
55.65	1.652	10
59.29	1.559	15
70.09	1.343	13
75.98	1.252	18

=====

# 9
This entry pairs a crystal structure of HfScCuRu with its theoretical powder diffractogram. Radiation: Cu Kα X-rays. Structure: a GGA-PBE-relaxed structure.

Atomic structure:
abc: 3.242 3.242 6.538
angles: 90.00 90.00 90.00
Element x y z (fractional)
Hf1 0.000 0.000 0.000
Sc1 0.000 0.000 0.510
Cu1 0.500 0.500 0.252
Ru1 0.500 0.500 0.767

Principal peaks in the range 10 to 90 degrees two-theta, sorted by position:
two_theta	d/Å	intensity
13.54	6.538	44
30.78	2.905	19
39.13	2.302	100
39.30	2.293	50
41.75	2.164	12
50.46	1.809	9
56.79	1.621	17
70.80	1.331	16
71.13	1.326	33
84.10	1.151	10

=====

# 10
This entry pairs a crystal structure of Hf3CuSb2 with its theoretical powder diffractogram. Radiation: Cu Kα X-rays. Structure: a GGA-PBE-relaxed structure.

Atomic structure:
abc: 11.503 4.026 10.715
angles: 90.00 90.00 90.00
Element x y z (fractional)
Hf1 0.052 0.250 0.111
Hf2 0.130 0.750 0.559
Hf3 0.237 0.250 0.765
Hf4 0.263 0.750 0.265
Hf5 0.370 0.250 0.059
Hf6 0.448 0.750 0.611
Hf7 0.552 0.250 0.389
Hf8 0.630 0.750 0.941
Hf9 0.737 0.250 0.735
Hf10 0.763 0.750 0.235
Hf11 0.870 0.250 0.441
Hf12 0.948 0.750 0.889
Cu1 0.119 0.250 0.373
Cu2 0.381 0.750 0.873
Cu3 0.619 0.250 0.127
Cu4 0.881 0.750 0.627
Sb1 0.004 0.750 0.304
Sb2 0.188 0.750 0.986
Sb3 0.312 0.250 0.486
Sb4 0.496 0.250 0.804
Sb5 0.504 0.750 0.196
Sb6 0.688 0.750 0.514
Sb7 0.812 0.250 0.014
Sb8 0.996 0.250 0.696

Principal peaks in the range 10 to 90 degrees two-theta, sorted by position:
two_theta	d/Å	intensity
31.86	2.809	28
33.33	2.688	23
33.54	2.672	100
35.43	2.534	31
36.45	2.465	36
37.02	2.428	24
39.41	2.286	43
45.03	2.013	40
48.67	1.871	21
65.72	1.421	16

=====

# 11
This entry pairs a crystal structure of Hf5CuSb5 with its theoretical powder diffractogram. Radiation: Cu Kα X-rays. Structure: a GGA-PBE-relaxed structure.

Atomic structure:
abc: 6.928 6.928 8.008
angles: 107.85 107.85 48.43
Element x y z (fractional)
Hf1 0.000 0.000 0.000
Hf2 0.331 0.331 0.143
Hf3 0.343 0.343 0.694
Hf4 0.657 0.657 0.306
Hf5 0.669 0.669 0.857
Cu1 0.500 0.500 0.000
Sb1 0.147 0.147 0.797
Sb2 0.170 0.170 0.345
Sb3 0.500 0.500 0.500
Sb4 0.830 0.830 0.655
Sb5 0.853 0.853 0.203

Principal peaks in the range 10 to 90 degrees two-theta, sorted by position:
two_theta	d/Å	intensity
31.45	2.844	100
32.09	2.789	40
32.85	2.726	12
45.08	2.011	36
45.31	2.001	14
45.57	1.991	30
45.74	1.983	16
56.22	1.636	15
56.59	1.626	18
74.61	1.272	19

=====

# 12
This entry pairs a crystal structure of HfSc3Cu4 with its theoretical powder diffractogram. Radiation: Cu Kα X-rays. Structure: a GGA-PBE-relaxed structure.

Atomic structure:
abc: 7.973 7.973 7.973
angles: 33.53 33.53 33.53
Element x y z (fractional)
Hf1 0.000 0.000 0.000
Sc1 0.248 0.248 0.248
Sc2 0.500 0.500 0.500
Sc3 0.752 0.752 0.752
Cu1 0.123 0.123 0.123
Cu2 0.373 0.373 0.373
Cu3 0.627 0.627 0.627
Cu4 0.877 0.877 0.877

Principal peaks in the range 10 to 90 degrees two-theta, sorted by position:
two_theta	d/Å	intensity
11.77	7.518	15
22.67	3.923	11
23.68	3.757	12
29.92	2.986	4
39.15	2.301	100
41.04	2.199	5
46.27	1.962	6
56.57	1.627	16
70.95	1.328	31
84.16	1.150	10